Computed powder XRD pattern of Li3Ni5O10 for λ = 1.5418 Å (Cu Kα), from a crystal structure in the Materials Project, relaxed with GGA+U.
Neutral-atom scattering factors, no anomalous dispersion.

abc: 4.9910 5.8501 6.4935
angles: 105.39 96.95 106.04
Space group P-1 (No. 2)
One atom of each set of equivalent atoms:
Li 0.0000 0.0000 0.0000 (multiplicity 1)
Li 0.2019 0.3982 0.3951 (multiplicity 2)
Ni 0.0000 0.5000 0.0000 (multiplicity 1)
Ni 0.2017 0.9008 0.4009 (multiplicity 2)
Ni 0.3991 0.2942 0.8062 (multiplicity 2)
O 0.0666 0.4192 0.7108 (multiplicity 2)
O 0.0770 0.9591 0.6718 (multiplicity 2)
O 0.2684 0.8269 0.1169 (multiplicity 2)
O 0.2807 0.3703 0.0857 (multiplicity 2)
O 0.4947 0.2195 0.5159 (multiplicity 2)

Principal peaks in the range 10° ≤ 2θ ≤ 90°, most intense first:
d [Å]	Rel. int.
4.845	100
2.054	37
2.034	18
2.421	16
2.458	12
2.449	12
1.444	5
1.595	5
1.585	5
1.421	5
1.427	5
1.595	5